(1)
Starting from a crystal structure in the Materials Project, relaxed with PBE, the X-ray powder pattern of Pr3SiSe2N3 was computed for CuKα.
Lines closer than 0.1° are merged.

Structural model:
abc: 19.1390 19.1390 10.4974
angles: 90.00 90.00 120.00
Space group R-3 (No. 148, hexagonal axes)
Asymmetric unit:
Pr: 0.0138 0.8665 0.1157 (multiplicity 18)
Pr: 0.0210 0.7680 0.8099 (multiplicity 18)
Pr: 0.0873 0.2294 0.5150 (multiplicity 18)
Si: 0.0076 0.9141 0.7028 (multiplicity 18)
Se: 0.0404 0.7534 0.3127 (multiplicity 18)
Se: 0.0422 0.4998 0.6651 (multiplicity 18)
N: 0.0074 0.9151 0.3306 (multiplicity 18)
N: 0.0097 0.8907 0.8685 (multiplicity 18)
N: 0.0185 0.8391 0.6282 (multiplicity 18)

Peak list (8 most intense, 2θ from 5° to 70°, low angle first)
- 2θ 24.90, I = 23.1
- 2θ 25.76, I = 12.7
- 2θ 29.00, I = 100.0
- 2θ 31.68, I = 16.2
- 2θ 36.57, I = 13.1
- 2θ 38.99, I = 13.6
- 2θ 41.12, I = 28.9
- 2θ 41.82, I = 25.9

(2)
Starting from a crystal structure in the Materials Project, relaxed with PBE, the X-ray powder pattern of Pb2CO6 was computed for CuKα.
Lines closer than 0.1° are merged.

Structural model:
abc: 4.8768 4.8768 23.6985
angles: 90.00 90.00 120.00
Space group R3m (No. 160, hexagonal axes)
Asymmetric unit:
Pb: 0.0000 0.0000 0.0000 (multiplicity 3)
Pb: 0.0000 0.0000 0.4532 (multiplicity 3)
C: 0.0000 0.0000 0.6558 (multiplicity 3)
O: 0.0000 0.0000 0.0910 (multiplicity 3)
O: 0.0000 0.0000 0.5432 (multiplicity 3)
O: 0.0000 0.0000 0.7979 (multiplicity 3)
O: 0.1806 0.3612 0.3236 (multiplicity 9)

Peak list (8 most intense, 2θ from 5° to 70°, low angle first)
- 2θ 11.20, I = 44.4
- 2θ 22.35, I = 100.0
- 2θ 22.51, I = 23.9
- 2θ 25.91, I = 46.6
- 2θ 28.30, I = 30.0
- 2θ 36.86, I = 43.5
- 2θ 43.57, I = 42.1
- 2θ 51.03, I = 38.8

(3)
Starting from a crystal structure in the Materials Project, relaxed with PBE, the X-ray powder pattern of AcPr3 was computed for CuKα.
Lines closer than 0.1° are merged.

Structural model:
abc: 5.3382 5.3382 10.7082
angles: 90.00 90.00 90.00
Space group I4/mmm (No. 139)
Asymmetric unit:
Ac: 0.0000 0.0000 0.0000 (multiplicity 2)
Pr: 0.0000 0.0000 0.5000 (multiplicity 2)
Pr: 0.0000 0.5000 0.2500 (multiplicity 4)

Peak list (8 most intense, 2θ from 5° to 70°, low angle first)
- 2θ 18.57, I = 4.0
- 2θ 28.94, I = 100.0
- 2θ 33.47, I = 17.1
- 2θ 33.58, I = 33.9
- 2θ 48.17, I = 37.3
- 2θ 57.08, I = 15.0
- 2θ 57.22, I = 29.8
- 2θ 59.97, I = 12.9

(4)
Starting from a crystal structure in the Materials Project, relaxed with PBE, the X-ray powder pattern of V5Ge3B was computed for CuKα.
Lines closer than 0.1° are merged.

Structural model:
abc: 7.3523 7.3523 4.9409
angles: 90.00 90.00 120.00
Space group P6_3/mcm (No. 193)
Asymmetric unit:
V: 0.0000 0.2438 0.2500 (multiplicity 6)
V: 0.3333 0.6667 0.0000 (multiplicity 4)
Ge: 0.0000 0.3988 0.7500 (multiplicity 6)
B: 0.0000 0.0000 0.0000 (multiplicity 2)

Peak list (8 most intense, 2θ from 5° to 70°, low angle first)
- 2θ 30.30, I = 12.3
- 2θ 36.37, I = 22.0
- 2θ 37.37, I = 20.3
- 2θ 41.75, I = 100.0
- 2θ 42.60, I = 42.3
- 2θ 44.17, I = 65.7
- 2θ 55.24, I = 24.4
- 2θ 69.11, I = 20.4

(5)
Starting from a crystal structure in the Materials Project, relaxed with PBE, the X-ray powder pattern of Ti4FeS8 was computed for CuKα.
Lines closer than 0.1° are merged.

Structural model:
abc: 11.1390 6.7819 8.0262
angles: 90.00 133.34 90.00
Space group C2/m (No. 12)
Asymmetric unit:
Ti: 0.0000 0.2393 0.0000 (multiplicity 4)
Ti: 0.2395 0.0000 0.4939 (multiplicity 4)
Fe: 0.0000 0.5000 0.5000 (multiplicity 2)
S: 0.0365 0.5000 0.8231 (multiplicity 4)
S: 0.0503 0.0000 0.8346 (multiplicity 4)
S: 0.1994 0.2582 0.6654 (multiplicity 8)

Peak list (8 most intense, 2θ from 5° to 70°, low angle first)
- 2θ 15.91, I = 34.1
- 2θ 17.10, I = 32.9
- 2θ 34.54, I = 55.2
- 2θ 34.65, I = 100.0
- 2θ 44.76, I = 75.6
- 2θ 45.01, I = 38.1
- 2θ 45.24, I = 28.2
- 2θ 54.36, I = 46.0

(6)
Starting from a crystal structure in the Materials Project, relaxed with PBE, the X-ray powder pattern of BaSrCeBiO6 was computed for CuKα.
Lines closer than 0.1° are merged.

Structural model:
abc: 6.1442 6.2792 8.7764
angles: 89.71 89.78 89.85
Space group P-1 (No. 2)
Asymmetric unit:
Ba: 0.0073 0.0359 0.2527 (multiplicity 2)
Sr: 0.4849 0.5421 0.2532 (multiplicity 2)
Ce: 0.0000 0.5000 0.5000 (multiplicity 1)
Ce: 0.5000 0.0000 0.0000 (multiplicity 1)
Bi: 0.0000 0.5000 0.0000 (multiplicity 1)
Bi: 0.5000 0.0000 0.5000 (multiplicity 1)
O: 0.0999 0.5121 0.7637 (multiplicity 2)
O: 0.1986 0.7835 0.4577 (multiplicity 2)
O: 0.2073 0.7761 0.0403 (multiplicity 2)
O: 0.2804 0.2989 0.0550 (multiplicity 2)
O: 0.2921 0.3076 0.4457 (multiplicity 2)
O: 0.4272 0.0482 0.7631 (multiplicity 2)

Peak list (8 most intense, 2θ from 5° to 70°, low angle first)
- 2θ 20.23, I = 19.9
- 2θ 28.43, I = 32.5
- 2θ 28.65, I = 33.2
- 2θ 28.80, I = 100.0
- 2θ 29.07, I = 31.6
- 2θ 41.10, I = 34.4
- 2θ 50.64, I = 20.0
- 2θ 51.38, I = 23.3

(7)
Starting from a crystal structure in the Materials Project, relaxed with PBE, the X-ray powder pattern of Pr11In9Ni4 was computed for CuKα.
Lines closer than 0.1° are merged.

Structural model:
abc: 14.9965 22.4756 3.7884
angles: 90.00 90.00 90.00
Space group Cmmm (No. 65)
Asymmetric unit:
Pr: 0.0000 0.0000 0.0000 (multiplicity 2)
Pr: 0.0000 0.1611 0.0000 (multiplicity 4)
Pr: 0.0000 0.3743 0.0000 (multiplicity 4)
Pr: 0.1872 0.5000 0.0000 (multiplicity 4)
Pr: 0.2469 0.1695 0.0000 (multiplicity 8)
In: 0.0000 0.5000 0.5000 (multiplicity 2)
In: 0.1024 0.2646 0.5000 (multiplicity 8)
In: 0.1508 0.0694 0.5000 (multiplicity 8)
Ni: 0.1531 0.3985 0.5000 (multiplicity 8)

Peak list (8 most intense, 2θ from 5° to 70°, low angle first)
- 2θ 29.86, I = 12.3
- 2θ 31.96, I = 13.0
- 2θ 33.64, I = 100.0
- 2θ 33.83, I = 39.4
- 2θ 35.81, I = 14.9
- 2θ 36.84, I = 14.2
- 2θ 48.03, I = 17.0
- 2θ 60.03, I = 16.6

(8)
Starting from a crystal structure in the Materials Project, relaxed with PBE, the X-ray powder pattern of LaMg14Co was computed for CuKα.
Lines closer than 0.1° are merged.

Structural model:
abc: 6.4852 6.4852 10.1867
angles: 90.00 90.00 120.00
Space group P-6m2 (No. 187)
Asymmetric unit:
La: 0.0000 0.0000 0.0000 (multiplicity 1)
Mg: 0.0128 0.5064 0.0000 (multiplicity 3)
Mg: 0.1628 0.3256 0.2696 (multiplicity 6)
Mg: 0.5029 0.0059 0.5000 (multiplicity 3)
Mg: 0.6667 0.3333 0.2413 (multiplicity 2)
Co: 0.0000 0.0000 0.5000 (multiplicity 1)

Peak list (8 most intense, 2θ from 5° to 70°, low angle first)
- 2θ 15.78, I = 38.5
- 2θ 23.58, I = 27.3
- 2θ 31.87, I = 29.2
- 2θ 35.24, I = 22.8
- 2θ 36.54, I = 100.0
- 2θ 48.24, I = 17.6
- 2θ 56.78, I = 17.5
- 2θ 68.62, I = 17.9

(9)
Starting from a crystal structure in the Materials Project, relaxed with PBE, the X-ray powder pattern of TmNiGe2 was computed for CuKα.
Lines closer than 0.1° are merged.

Structural model:
abc: 4.1313 8.4777 15.8233
angles: 90.00 90.00 90.00
Space group Immm (No. 71)
Asymmetric unit:
Tm: 0.0000 0.0000 0.2033 (multiplicity 4)
Tm: 0.0000 0.2384 0.0000 (multiplicity 4)
Ni: 0.0000 0.2497 0.3528 (multiplicity 8)
Ge: 0.0000 0.0000 0.4209 (multiplicity 4)
Ge: 0.0000 0.3416 0.1978 (multiplicity 8)
Ge: 0.0000 0.5000 0.4230 (multiplicity 4)

Peak list (8 most intense, 2θ from 5° to 70°, low angle first)
- 2θ 30.74, I = 29.1
- 2θ 34.77, I = 83.4
- 2θ 35.74, I = 100.0
- 2θ 36.06, I = 21.5
- 2θ 40.30, I = 64.3
- 2θ 42.66, I = 21.0
- 2θ 43.83, I = 44.2
- 2θ 56.87, I = 27.7